Starting from a cell relaxed with PBE, the powder diffractogram of Pa2Sn2O7 was computed for Cu Kα (weighted mean of Kα1 and Kα2).
No peak broadening, texture or thermal motion is included.

Cell lengths 4.400, 29.232, 6.069 Å; angles 90.00, 90.00, 90.00 degrees
Space group Cmc2_1 (No. 36)
Asymmetric unit:
Pa 0.000 0.052 0.000 (multiplicity 4)
Pa 0.000 0.160 0.476 (multiplicity 4)
Sn 0.000 0.276 0.481 (multiplicity 4)
Sn 0.000 0.431 0.060 (multiplicity 4)
O 0.000 0.004 0.270 (multiplicity 4)
O 0.000 0.094 0.689 (multiplicity 4)
O 0.000 0.110 0.213 (multiplicity 4)
O 0.000 0.214 0.706 (multiplicity 4)
O 0.000 0.217 0.256 (multiplicity 4)
O 0.000 0.355 0.017 (multiplicity 4)
O 0.000 0.443 0.429 (multiplicity 4)

Top 10 peaks for 2θ = 15–90°, sorted by position:
d/Å	2θ/deg	I_rel	h k l
4.669	19.01	32	0 4 1
4.351	20.41	25	1 1 0
3.799	23.42	37	0 6 1
3.536	25.18	22	1 1 1
3.346	26.64	69	1 3 1
3.039	29.39	100	0 0 2
2.200	41.02	26	2 0 0
2.105	42.96	18	0 10 2
1.980	45.83	35	1 9 2
1.903	47.80	22	2 6 1